# BaYMnSe4
Theoretical powder diffractogram, copper Kα. Input: a structure optimized by DFT (PBE).
No peak broadening, texture or thermal motion is included.

Top 10 peaks for 2θ from 10° to 90°, sorted by position:
2theta, I_rel
27.3, 49
28.2, 66
28.8, 75
30.5, 93
31.4, 100
31.9, 83
34.6, 58
34.7, 55
38.9, 52
40.3, 54

a b c (Å): 6.9015 6.5365 8.9534
angles (deg): 90.00 107.79 90.00
Space group P2_1/m (No. 11)
Asymmetric unit:
1 Ba 0.2487 0.2500 0.4407 [2 per cell]
2 Y 0.2542 0.2500 0.9425 [2 per cell]
3 Mn 0.2644 0.7500 0.1746 [2 per cell]
4 Se 0.0634 0.7500 0.9069 [2 per cell]
5 Se 0.0751 0.7500 0.3608 [2 per cell]
6 Se 0.4827 0.5109 0.7819 [4 per cell]


# BaSrMn2
Theoretical powder diffractogram, copper Kα. Input: a structure optimized by DFT (PBE).
No peak broadening, texture or thermal motion is included.

Top 10 peaks for 2θ from 10° to 90°, sorted by position:
2theta, I_rel
23.6, 39
28.1, 100
28.6, 76
34.1, 29
34.5, 49
38.6, 27
39.1, 26
47.0, 21
48.7, 41
62.7, 17

a b c (Å): 4.6641 4.6108 12.7565
angles (deg): 90.00 90.00 90.00
Space group Amm2 (No. 38)
Asymmetric unit:
1 Ba 0.0000 0.0000 0.0000 [2 per cell]
2 Sr 0.5000 0.0000 0.2834 [2 per cell]
3 Mn 0.0000 0.0000 0.6990 [2 per cell]
4 Mn 0.5000 0.0000 0.5977 [2 per cell]


# Ba2Sr2Mn
Theoretical powder diffractogram, copper Kα. Input: a structure optimized by DFT (PBE).
No peak broadening, texture or thermal motion is included.

Top 10 peaks for 2θ from 10° to 90°, sorted by position:
2theta, I_rel
16.5, 26
24.9, 29
27.5, 100
27.9, 27
31.1, 40
37.4, 33
45.5, 23
50.3, 20
61.6, 20
65.0, 16

a b c (Å): 4.8077 4.8077 21.4674
angles (deg): 90.00 90.00 90.00
Space group I4/mmm (No. 139)
Asymmetric unit:
1 Ba 0.0000 0.5000 0.2500 [4 per cell]
2 Sr 0.0000 0.0000 0.0849 [4 per cell]
3 Mn 0.0000 0.0000 0.5000 [2 per cell]


# Ba2ZrMnTe5
Theoretical powder diffractogram, copper Kα. Input: a structure optimized by DFT (PBE).
No peak broadening, texture or thermal motion is included.

Top 10 peaks for 2θ from 10° to 90°, sorted by position:
2theta, I_rel
27.0, 55
27.7, 37
28.2, 100
29.5, 27
32.5, 42
38.7, 44
40.4, 18
41.0, 13
46.4, 12
48.2, 16

a b c (Å): 4.6590 13.2085 10.2214
angles (deg): 90.00 103.17 90.00
Space group P2_1 (No. 4)
Asymmetric unit:
1 Ba 0.1119 0.0000 0.2241 [2 per cell]
2 Ba 0.1200 0.6260 0.2399 [2 per cell]
3 Zr 0.2014 0.3186 0.4023 [2 per cell]
4 Mn 0.3996 0.8391 0.8006 [2 per cell]
5 Te 0.0529 0.2731 0.1045 [2 per cell]
6 Te 0.2929 0.9663 0.5862 [2 per cell]
7 Te 0.3089 0.6785 0.6184 [2 per cell]
8 Te 0.3459 0.3113 0.6917 [2 per cell]
9 Te 0.4823 0.0051 0.9650 [2 per cell]